Record 1
# ScSn
Simulated X-ray powder pattern, Cu Kα (weighted mean of Kα1 and Kα2). Input: a cell relaxed with GGA-PBE.
Neutral-atom scattering factors, no anomalous dispersion.

Largest 6 diffraction maxima, low angle first, 2θ from 10° to 80°:
| two_theta | Rel. int. |
| --- | --- |
| 22.46 | 42.9 |
| 27.07 | 30.6 |
| 31.23 | 95.8 |
| 33.08 | 39.1 |
| 39.28 | 100.0 |
| 42.51 | 26.2 |

Cell and atoms:
```
ScSn
1.0
4.253 0.000 0.000
0.000 4.150 0.000
-2.121 0.000 5.416
Sc Sn
2 2
Direct
0.128 0.250 0.257
0.872 0.750 0.743
0.400 0.250 0.799
0.600 0.750 0.201
```

Record 2
# CdRh3
Simulated X-ray powder pattern, Cu Kα (weighted mean of Kα1 and Kα2). Input: a cell relaxed with GGA-PBE.
Neutral-atom scattering factors, no anomalous dispersion.

Largest 6 diffraction maxima, low angle first, 2θ from 10° to 80°:
| two_theta | Rel. int. |
| --- | --- |
| 29.70 | 1.6 |
| 39.32 | 100.0 |
| 39.97 | 30.2 |
| 45.92 | 62.4 |
| 66.51 | 20.5 |
| 67.40 | 17.7 |

Cell and atoms:
```
CdRh3
1.0
1.406 0.812 9.023
-1.406 0.812 9.023
0.000 -1.623 9.023
Cd Rh
1 3
Direct
0.000 0.000 0.000
0.245 0.245 0.245
0.500 0.500 0.500
0.755 0.755 0.755
```

Record 3
# Th2MgAl3
Simulated X-ray powder pattern, Cu Kα (weighted mean of Kα1 and Kα2). Input: a cell relaxed with GGA-PBE.
Neutral-atom scattering factors, no anomalous dispersion.

Largest 6 diffraction maxima, low angle first, 2θ from 10° to 80°:
| two_theta | Rel. int. |
| --- | --- |
| 21.70 | 83.7 |
| 32.72 | 100.0 |
| 38.06 | 40.9 |
| 45.61 | 19.0 |
| 51.05 | 29.2 |
| 65.38 | 18.8 |

Cell and atoms:
```
Th2MgAl3
1.0
0.000 4.735 8.180
3.678 0.000 8.180
3.678 4.735 0.000
Th Mg Al
4 2 6
Direct
0.248 0.752 0.752
0.250 0.250 0.250
0.750 0.750 0.750
0.752 0.248 0.248
0.333 0.333 0.667
0.667 0.667 0.333
0.165 0.165 0.835
0.165 0.671 0.329
0.329 0.835 0.165
0.671 0.165 0.835
0.835 0.329 0.671
0.835 0.835 0.165
```

Record 4
# Pm2Zn16Ru
Simulated X-ray powder pattern, Cu Kα (weighted mean of Kα1 and Kα2). Input: a cell relaxed with GGA-PBE.
Neutral-atom scattering factors, no anomalous dispersion.

Largest 6 diffraction maxima, low angle first, 2θ from 10° to 80°:
| two_theta | Rel. int. |
| --- | --- |
| 34.39 | 42.8 |
| 35.61 | 33.9 |
| 39.92 | 75.9 |
| 40.21 | 100.0 |
| 41.03 | 51.7 |
| 45.13 | 35.4 |

Cell and atoms:
```
Pm2Zn16Ru
1.0
4.517 2.608 4.397
-4.517 2.608 4.397
0.000 -5.216 4.397
Pm Zn Ru
2 16 1
Direct
0.000 0.000 0.000
0.333 0.333 0.333
0.015 0.015 0.499
0.015 0.499 0.015
0.168 0.654 0.654
0.309 0.309 0.811
0.309 0.811 0.309
0.373 0.658 0.943
0.373 0.943 0.658
0.499 0.015 0.015
0.654 0.168 0.654
0.654 0.654 0.168
0.658 0.373 0.943
0.658 0.943 0.373
0.761 0.761 0.761
0.811 0.309 0.309
0.943 0.373 0.658
0.943 0.658 0.373
0.562 0.562 0.562
```